(1)
Simulated PXRD pattern of Er3Ga2Rh5 for Cu Ka, from the GGA-PBE geometry in Alexandria.
Neutral-atom scattering factors, no anomalous dispersion.

Crystal structure
a b c (Å): 9.9736 9.9736 3.5808
angles (deg): 90.00 90.00 90.00
Element x y z (fractional)
Er 0.0000 0.0000 0.0000
Er 0.1728 0.3272 0.0000
Er 0.3272 0.8272 0.0000
Er 0.5000 0.5000 0.0000
Er 0.6728 0.1728 0.0000
Er 0.8272 0.6728 0.0000
Ga 0.1236 0.6236 0.0000
Ga 0.3764 0.1236 0.0000
Ga 0.6236 0.8764 0.0000
Ga 0.8764 0.3764 0.0000
Rh 0.0000 0.5000 0.5000
Rh 0.0715 0.7891 0.5000
Rh 0.2109 0.0715 0.5000
Rh 0.2891 0.5715 0.5000
Rh 0.4285 0.2891 0.5000
Rh 0.5000 0.0000 0.5000
Rh 0.5715 0.7109 0.5000
Rh 0.7109 0.4285 0.5000
Rh 0.7891 0.9285 0.5000
Rh 0.9285 0.2109 0.5000

Most intense lines, 2θ = 5–70°, low angle first:
- (2 1 1), 2θ = 32.05°, intensity 27
- (2 2 1), 2θ = 35.74°, intensity 25
- (4 1 0), 2θ = 37.17°, intensity 43
- (3 1 1), 2θ = 38.02°, intensity 100
- (3 3 0), 2θ = 38.29°, intensity 10
- (4 2 0), 2θ = 40.45°, intensity 23
- (3 2 1), 2θ = 41.24°, intensity 27
- (0 0 2), 2θ = 51.01°, intensity 19
- (6 0 1), 2θ = 61.50°, intensity 11
- (4 1 2), 2θ = 64.78°, intensity 17
- (5 4 1), 2θ = 65.33°, intensity 11
- (4 2 2), 2θ = 67.03°, intensity 10

(2)
Simulated PXRD pattern of SrEr2UO8 for Cu Ka, from the GGA-PBE geometry in Alexandria.
Neutral-atom scattering factors, no anomalous dispersion.

Crystal structure
a b c (Å): 3.8462 5.2927 7.9609
angles (deg): 90.00 90.00 90.00
Element x y z (fractional)
Sr 0.0000 0.0000 0.0000
Er 0.5000 0.5000 0.2806
Er 0.5000 0.5000 0.7194
U 0.0000 0.0000 0.5000
O 0.0000 0.2437 0.2830
O 0.0000 0.2437 0.7170
O 0.0000 0.7563 0.2830
O 0.0000 0.7563 0.7170
O 0.5000 0.2360 0.5000
O 0.5000 0.3560 0.0000
O 0.5000 0.6440 0.0000
O 0.5000 0.7640 0.5000

Most intense lines, 2θ = 5–70°, low angle first:
- (0 0 1), 2θ = 11.11°, intensity 45
- (0 1 2), 2θ = 28.05°, intensity 86
- (1 1 0), 2θ = 28.69°, intensity 100
- (1 0 2), 2θ = 32.37°, intensity 40
- (0 2 0), 2θ = 33.87°, intensity 22
- (0 0 4), 2θ = 45.58°, intensity 14
- (2 0 0), 2θ = 47.27°, intensity 17
- (1 2 2), 2θ = 47.55°, intensity 58
- (1 1 4), 2θ = 54.75°, intensity 24
- (2 1 2), 2θ = 55.86°, intensity 26
- (0 3 2), 2θ = 57.11°, intensity 14
- (1 3 0), 2θ = 57.47°, intensity 13

(3)
Simulated PXRD pattern of RbTlICl2 for Cu Ka, from the GGA-PBE geometry in Alexandria.
Neutral-atom scattering factors, no anomalous dispersion.

Crystal structure
a b c (Å): 5.6377 5.6377 6.1142
angles (deg): 90.00 90.00 90.00
Element x y z (fractional)
Rb 0.0000 0.0000 0.0000
Tl 0.5000 0.5000 0.5000
I 0.5000 0.5000 0.0000
Cl 0.0000 0.5000 0.5000
Cl 0.5000 0.0000 0.5000

Most intense lines, 2θ = 5–70°, low angle first:
- (1 0 0), 2θ = 15.72°, intensity 100
- (1 0 1), 2θ = 21.44°, intensity 44
- (1 1 0), 2θ = 22.30°, intensity 89
- (0 0 2), 2θ = 29.21°, intensity 48
- (2 0 0), 2θ = 31.74°, intensity 77
- (1 0 2), 2θ = 33.34°, intensity 32
- (2 1 0), 2θ = 35.61°, intensity 27
- (1 1 2), 2θ = 37.06°, intensity 50
- (2 0 2), 2θ = 43.68°, intensity 62
- (2 2 0), 2θ = 45.51°, intensity 28
- (2 1 2), 2θ = 46.70°, intensity 26
- (2 2 2), 2θ = 55.00°, intensity 31

(4)
Simulated PXRD pattern of RbAcRe2O8 for Cu Ka, from the GGA-PBE geometry in Alexandria.
Neutral-atom scattering factors, no anomalous dispersion.

Crystal structure
a b c (Å): 6.2405 6.2405 8.2342
angles (deg): 90.00 90.00 120.00
Element x y z (fractional)
Rb 0.0000 0.0000 0.0000
Ac 0.0000 0.0000 0.5000
Re 0.3333 0.6667 0.7708
Re 0.6667 0.3333 0.2292
O 0.1745 0.3521 0.6937
O 0.1776 0.8255 0.6937
O 0.3333 0.6667 0.9850
O 0.3521 0.1776 0.3063
O 0.6479 0.8224 0.6937
O 0.6667 0.3333 0.0150
O 0.8224 0.1745 0.3063
O 0.8255 0.6479 0.3063

Most intense lines, 2θ = 5–70°, low angle first:
- (0 1 1), 2θ = 19.65°, intensity 100
- (1 0 2), 2θ = 27.23°, intensity 63
- (1 1 0), 2θ = 28.61°, intensity 59
- (2 0 1), 2θ = 34.95°, intensity 12
- (1 0 3), 2θ = 36.72°, intensity 13
- (0 2 2), 2θ = 39.91°, intensity 29
- (0 0 4), 2θ = 43.96°, intensity 12
- (1 2 1), 2θ = 45.77°, intensity 21
- (2 1 2), 2θ = 49.83°, intensity 24
- (3 0 0), 2θ = 50.67°, intensity 12
- (1 1 4), 2θ = 53.31°, intensity 19
- (4 -3 2), 2θ = 66.37°, intensity 11